# 1
Starting from a crystal structure in Alexandria, relaxed with GGA-PBE, the X-ray diffraction stick pattern of Ac2Nd12Ag7 was computed for a wavelength of 1.5418 Å.
Lines closer than 0.1° are merged.

Cell and atoms:
```
data_Ac2Nd12Ag7
_cell_length_a 13.8468
_cell_length_b 13.8468
_cell_length_c 3.8731
_cell_angle_alpha 90.00
_cell_angle_beta 90.00
_cell_angle_gamma 120.00
_space_group_name_H-M_alt 'P -6'
_space_group_IT_number 174
_space_group_name_Hall 'P -6'
loop_
_atom_site_label
_atom_site_type_symbol
_atom_site_fract_x
_atom_site_fract_y
_atom_site_fract_z
Ac1 Ac 0.0000 0.0000 0.0000
Ac2 Ac 0.3333 0.6667 0.5000
Nd1 Nd 0.0451 0.2766 0.5000
Nd2 Nd 0.1080 0.6981 0.0000
Nd3 Nd 0.3906 0.1934 0.0000
Nd4 Nd 0.5516 0.4435 0.5000
Ag1 Ag 0.1026 0.4730 0.0000
Ag2 Ag 0.2160 0.1952 0.5000
Ag3 Ag 0.6667 0.3333 0.0000
```

Main lines, by angle (5 to 70 degrees two-theta):
2θ = 29.8°, rel. 14.0, (4 0 0); 2θ = 30.4°, rel. 100.0, (2 1 1); 2θ = 32.2°, rel. 11.3, (3 0 1); 2θ = 32.5°, rel. 20.2, (3 2 0); 2θ = 34.3°, rel. 35.9, (1 4 0); 2θ = 35.6°, rel. 16.5, (1 3 1); 2θ = 40.2°, rel. 8.5, (3 2 1); 2θ = 46.9°, rel. 13.0, (0 0 2); 2θ = 52.1°, rel. 9.5, (3 4 1); 2θ = 59.4°, rel. 14.5, (1 4 2)


# 2
Starting from a crystal structure in Alexandria, relaxed with GGA-PBE, the X-ray diffraction stick pattern of Ac3Nd2Ag3 was computed for a wavelength of 1.5418 Å.
Lines closer than 0.1° are merged.

Cell and atoms:
```
data_Ac3Nd2Ag3
_cell_length_a 3.924
_cell_length_b 5.674
_cell_length_c 23.217
_cell_angle_alpha 90.00
_cell_angle_beta 90.00
_cell_angle_gamma 90.00
_space_group_name_H-M_alt 'I m m m'
_space_group_IT_number 71
_space_group_name_Hall '-I 2 2'
loop_
_atom_site_label
_atom_site_type_symbol
_atom_site_fract_x
_atom_site_fract_y
_atom_site_fract_z
Ac1 Ac 0.000 0.000 0.000
Ac2 Ac 0.000 0.500 0.121
Nd1 Nd 0.000 0.000 0.232
Ag1 Ag 0.000 0.000 0.500
Ag2 Ag 0.000 0.500 0.377
```

Main lines, by angle (5 to 70 degrees two-theta):
2θ = 24.8°, rel. 11.4, (0 1 5); 2θ = 30.8°, rel. 23.2, (0 0 8); 2θ = 31.5°, rel. 26.7, (0 2 0); 2θ = 31.7°, rel. 100.0, (1 1 4); 2θ = 44.7°, rel. 16.8, (0 2 8); 2θ = 46.3°, rel. 9.3, (2 0 0); 2θ = 55.4°, rel. 14.1, (1 1 12); 2θ = 56.3°, rel. 19.7, (1 3 4); 2θ = 57.1°, rel. 9.9, (2 2 0); 2θ = 66.3°, rel. 10.6, (2 2 8)


# 3
Starting from a crystal structure in Alexandria, relaxed with GGA-PBE, the X-ray diffraction stick pattern of Ac8Ni4Ag was computed for a wavelength of 1.5418 Å.
Lines closer than 0.1° are merged.

Cell and atoms:
```
data_Ac8Ni4Ag
_cell_length_a 19.488
_cell_length_b 4.176
_cell_length_c 13.761
_cell_angle_alpha 90.00
_cell_angle_beta 131.06
_cell_angle_gamma 90.00
_space_group_name_H-M_alt 'C 1 2/m 1'
_space_group_IT_number 12
_space_group_name_Hall '-C 2y'
loop_
_atom_site_label
_atom_site_type_symbol
_atom_site_fract_x
_atom_site_fract_y
_atom_site_fract_z
Ac1 Ac 0.046 0.000 0.190
Ac2 Ac 0.102 0.500 0.758
Ac3 Ac 0.174 0.500 0.538
Ac4 Ac 0.176 0.500 0.102
Ni1 Ni 0.183 0.500 0.330
Ni2 Ni 0.201 0.000 0.968
Ag1 Ag 0.000 0.000 0.500
```

Main lines, by angle (5 to 70 degrees two-theta):
2θ = 25.6°, rel. 29.3, (3 1 -1); 2θ = 25.9°, rel. 50.8, (4 0 -4); 2θ = 26.8°, rel. 35.0, (2 0 2); 2θ = 28.1°, rel. 100.0, (3 1 0); 2θ = 28.3°, rel. 45.1, (6 0 -2); 2θ = 28.9°, rel. 75.5, (3 1 -3); 2θ = 32.8°, rel. 38.7, (3 1 1); 2θ = 43.3°, rel. 34.6, (0 2 0); 2θ = 47.9°, rel. 27.3, (9 1 -5); 2θ = 51.2°, rel. 40.8, (9 1 -2)


# 4
Starting from a crystal structure in Alexandria, relaxed with GGA-PBE, the X-ray diffraction stick pattern of Ac12NiAg6 was computed for a wavelength of 1.5418 Å.
Lines closer than 0.1° are merged.

Cell and atoms:
```
data_Ac12NiAg6
_cell_length_a 13.7810
_cell_length_b 13.7810
_cell_length_c 13.3523
_cell_angle_alpha 90.00
_cell_angle_beta 90.00
_cell_angle_gamma 120.00
_space_group_name_H-M_alt 'R -3'
_space_group_IT_number 148
_space_group_name_Hall '-R 3'
loop_
_atom_site_label
_atom_site_type_symbol
_atom_site_fract_x
_atom_site_fract_y
_atom_site_fract_z
Ac1 Ac 0.0259 0.8273 0.3899
Ac2 Ac 0.0517 0.8604 0.8760
Ni1 Ni 0.0000 0.0000 0.0000
Ag1 Ag 0.0471 0.7652 0.6397
```

Main lines, by angle (5 to 70 degrees two-theta):
2θ = 20.8°, rel. 26.6, (3 -1 1); 2θ = 23.8°, rel. 83.4, (1 2 2); 2θ = 25.9°, rel. 28.7, (2 2 0); 2θ = 27.8°, rel. 74.4, (1 0 4); 2θ = 30.1°, rel. 100.0, (4 -1 2); 2θ = 33.4°, rel. 61.2, (3 -1 4); 2θ = 34.4°, rel. 53.9, (4 1 0); 2θ = 35.4°, rel. 35.0, (2 3 2); 2θ = 46.8°, rel. 24.0, (0 3 6); 2θ = 48.7°, rel. 48.2, (2 2 6)


# 5
Starting from a crystal structure in Alexandria, relaxed with GGA-PBE, the X-ray diffraction stick pattern of Ac2Ni3Ag was computed for a wavelength of 1.5418 Å.
Lines closer than 0.1° are merged.

Cell and atoms:
```
data_Ac2Ni3Ag
_cell_length_a 4.205
_cell_length_b 4.250
_cell_length_c 15.232
_cell_angle_alpha 90.00
_cell_angle_beta 90.00
_cell_angle_gamma 90.00
_space_group_name_H-M_alt 'I m m 2'
_space_group_IT_number 44
_space_group_name_Hall 'I 2 -2'
loop_
_atom_site_label
_atom_site_type_symbol
_atom_site_fract_x
_atom_site_fract_y
_atom_site_fract_z
Ac1 Ac 0.000 0.000 0.000
Ac2 Ac 0.000 0.500 0.265
Ni1 Ni 0.000 0.000 0.419
Ni2 Ni 0.000 0.500 0.694
Ni3 Ni 0.000 0.500 0.847
Ag1 Ag 0.000 0.000 0.593
```

Main lines, by angle (5 to 70 degrees two-theta):
2θ = 23.4°, rel. 12.8, (0 0 4); 2θ = 27.5°, rel. 29.7, (1 0 3); 2θ = 32.2°, rel. 100.0, (1 1 2); 2θ = 36.3°, rel. 36.8, (0 1 5); 2θ = 36.4°, rel. 13.2, (1 0 5); 2θ = 42.5°, rel. 18.2, (0 2 0); 2θ = 43.0°, rel. 17.7, (2 0 0); 2θ = 47.0°, rel. 18.3, (1 0 7); 2θ = 57.5°, rel. 19.3, (2 1 5); 2θ = 65.3°, rel. 13.5, (1 2 7)


# 6
Starting from a crystal structure in Alexandria, relaxed with GGA-PBE, the X-ray diffraction stick pattern of Ac2NiAg was computed for a wavelength of 1.5418 Å.
Lines closer than 0.1° are merged.

Cell and atoms:
```
data_Ac2NiAg
_cell_length_a 6.577
_cell_length_b 4.340
_cell_length_c 8.740
_cell_angle_alpha 90.00
_cell_angle_beta 109.99
_cell_angle_gamma 90.00
_space_group_name_H-M_alt 'P 1 21/m 1'
_space_group_IT_number 11
_space_group_name_Hall '-P 2yb'
loop_
_atom_site_label
_atom_site_type_symbol
_atom_site_fract_x
_atom_site_fract_y
_atom_site_fract_z
Ac1 Ac 0.220 0.250 0.413
Ac2 Ac 0.220 0.250 0.946
Ni1 Ni 0.308 0.750 0.204
Ag1 Ag 0.363 0.750 0.714
```

Main lines, by angle (5 to 70 degrees two-theta):
2θ = 25.1°, rel. 49.4, (1 1 0); 2θ = 28.9°, rel. 49.4, (2 0 0); 2θ = 29.6°, rel. 31.2, (2 0 -2); 2θ = 29.9°, rel. 68.5, (1 1 -2); 2θ = 30.0°, rel. 100.0, (0 1 2); 2θ = 36.3°, rel. 34.9, (2 1 -2); 2θ = 36.6°, rel. 34.0, (1 1 2); 2θ = 41.3°, rel. 32.8, (1 0 -4); 2θ = 41.6°, rel. 31.4, (0 2 0); 2θ = 51.5°, rel. 29.3, (2 2 0)


# 7
Starting from a crystal structure in Alexandria, relaxed with GGA-PBE, the X-ray diffraction stick pattern of Ac6Ni3Ag2 was computed for a wavelength of 1.5418 Å.
Lines closer than 0.1° are merged.

Cell and atoms:
```
data_Ac6Ni3Ag2
_cell_length_a 7.497
_cell_length_b 12.985
_cell_length_c 7.982
_cell_angle_alpha 90.00
_cell_angle_beta 108.23
_cell_angle_gamma 90.00
_space_group_name_H-M_alt 'C 1 2/m 1'
_space_group_IT_number 12
_space_group_name_Hall '-C 2y'
loop_
_atom_site_label
_atom_site_type_symbol
_atom_site_fract_x
_atom_site_fract_y
_atom_site_fract_z
Ac1 Ac 0.238 0.167 0.215
Ac2 Ac 0.239 0.500 0.213
Ni1 Ni 0.000 0.000 0.000
Ni2 Ni 0.000 0.332 0.000
Ag1 Ag 0.000 0.166 0.500
```

Main lines, by angle (5 to 70 degrees two-theta):
2θ = 23.5°, rel. 10.8, (0 0 2); 2θ = 25.0°, rel. 37.2, (2 0 0); 2θ = 28.5°, rel. 100.0, (1 3 1); 2θ = 39.8°, rel. 33.2, (2 0 2); 2θ = 41.7°, rel. 38.9, (0 6 0); 2θ = 48.4°, rel. 10.3, (3 3 1); 2θ = 51.3°, rel. 20.0, (4 0 0); 2θ = 59.0°, rel. 10.5, (2 6 2); 2θ = 65.5°, rel. 10.3, (3 3 3); 2θ = 68.2°, rel. 16.9, (4 6 0)


# 8
Starting from a crystal structure in Alexandria, relaxed with GGA-PBE, the X-ray diffraction stick pattern of Ac4Ni3Ag was computed for a wavelength of 1.5418 Å.
Lines closer than 0.1° are merged.

Cell and atoms:
```
data_Ac4Ni3Ag
_cell_length_a 4.111
_cell_length_b 4.699
_cell_length_c 11.283
_cell_angle_alpha 90.00
_cell_angle_beta 90.00
_cell_angle_gamma 90.00
_space_group_name_H-M_alt 'P m m 2'
_space_group_IT_number 25
_space_group_name_Hall 'P 2 -2'
loop_
_atom_site_label
_atom_site_type_symbol
_atom_site_fract_x
_atom_site_fract_y
_atom_site_fract_z
Ac1 Ac 0.000 0.000 0.000
Ac2 Ac 0.000 0.500 0.257
Ac3 Ac 0.500 0.000 0.472
Ac4 Ac 0.500 0.500 0.763
Ni1 Ni 0.000 0.500 0.544
Ni2 Ni 0.500 0.000 0.197
Ni3 Ni 0.500 0.500 0.055
Ag1 Ag 0.000 0.000 0.692
```

Main lines, by angle (5 to 70 degrees two-theta):
2θ = 24.7°, rel. 47.4, (0 1 2); 2θ = 29.9°, rel. 100.0, (1 1 1); 2θ = 31.7°, rel. 26.3, (0 0 4); 2θ = 32.3°, rel. 40.7, (1 0 3); 2θ = 37.6°, rel. 48.5, (1 1 3); 2θ = 38.3°, rel. 28.5, (0 2 0); 2θ = 44.1°, rel. 19.3, (2 0 0); 2θ = 50.6°, rel. 15.0, (0 2 4); 2θ = 50.9°, rel. 23.1, (1 2 3); 2θ = 59.8°, rel. 15.6, (2 2 0)


# 9
Starting from a crystal structure in Alexandria, relaxed with GGA-PBE, the X-ray diffraction stick pattern of AcAgO4 was computed for a wavelength of 1.5418 Å.
Lines closer than 0.1° are merged.

Cell and atoms:
```
data_AcAgO4
_cell_length_a 5.067
_cell_length_b 5.067
_cell_length_c 6.552
_cell_angle_alpha 90.00
_cell_angle_beta 90.00
_cell_angle_gamma 90.00
_space_group_name_H-M_alt 'P 42/n m c'
_space_group_IT_number 137
loop_
_space_group_symop_operation_xyz
'x,y,z'
'-x,-y,-z'
'-y+1/2,x,z+1/2'
'y+1/2,-x,-z+1/2'
'-x+1/2,-y+1/2,z'
'x+1/2,y+1/2,-z'
'y,-x+1/2,z+1/2'
'-y,x+1/2,-z+1/2'
'x+1/2,-y,-z'
'-x+1/2,y,z'
'-y,-x,-z+1/2'
'y,x,z+1/2'
'-x,y+1/2,-z'
'x,-y+1/2,z'
'y+1/2,x+1/2,-z+1/2'
'-y+1/2,-x+1/2,z+1/2'
loop_
_atom_site_label
_atom_site_type_symbol
_atom_site_fract_x
_atom_site_fract_y
_atom_site_fract_z
Ac1 Ac 0.250 0.750 0.250
Ag1 Ag 0.250 0.750 0.750
O1 O 0.102 0.250 0.043
```

Main lines, by angle (5 to 70 degrees two-theta):
2θ = 22.2°, rel. 28.2, (1 0 1); 2θ = 24.9°, rel. 88.3, (1 1 0); 2θ = 27.2°, rel. 31.1, (0 0 2); 2θ = 35.4°, rel. 54.0, (2 0 0); 2θ = 37.2°, rel. 100.0, (1 1 2); 2θ = 45.2°, rel. 48.5, (2 0 2); 2θ = 57.5°, rel. 24.5, (3 1 0); 2θ = 58.7°, rel. 27.4, (2 2 2); 2θ = 64.8°, rel. 31.1, (3 1 2); 2θ = 68.2°, rel. 17.9, (2 0 4)


# 10
Starting from a crystal structure in Alexandria, relaxed with GGA-PBE, the X-ray diffraction stick pattern of AcAg7O12 was computed for a wavelength of 1.5418 Å.
Lines closer than 0.1° are merged.

Cell and atoms:
```
data_AcAg7O12
_cell_length_a 8.028
_cell_length_b 8.028
_cell_length_c 8.028
_cell_angle_alpha 90.00
_cell_angle_beta 90.00
_cell_angle_gamma 90.00
_space_group_name_H-M_alt 'I m -3'
_space_group_IT_number 204
_space_group_name_Hall '-I 2 2 3'
loop_
_atom_site_label
_atom_site_type_symbol
_atom_site_fract_x
_atom_site_fract_y
_atom_site_fract_z
Ac1 Ac 0.000 0.000 0.000
Ag1 Ag 0.000 0.000 0.500
Ag2 Ag 0.250 0.250 0.250
O1 O 0.000 0.168 0.304
```

Main lines, by angle (5 to 70 degrees two-theta):
2θ = 15.6°, rel. 6.4, (1 1 0); 2θ = 27.2°, rel. 2.0, (2 1 1); 2θ = 31.5°, rel. 100.0, (2 2 0); 2θ = 35.4°, rel. 4.1, (3 1 0); 2θ = 38.9°, rel. 1.5, (2 2 2); 2θ = 42.1°, rel. 4.5, (3 2 1); 2θ = 45.2°, rel. 22.4, (4 0 0); 2θ = 56.1°, rel. 45.2, (4 2 2); 2θ = 58.6°, rel. 1.5, (4 1 3); 2θ = 65.8°, rel. 12.4, (4 4 0)


# 11
Starting from a crystal structure in Alexandria, relaxed with GGA-PBE, the X-ray diffraction stick pattern of Ac2AgPO6 was computed for a wavelength of 1.5418 Å.
Lines closer than 0.1° are merged.

Cell and atoms:
```
data_Ac2AgPO6
_cell_length_a 5.612
_cell_length_b 5.612
_cell_length_c 4.643
_cell_angle_alpha 90.00
_cell_angle_beta 90.00
_cell_angle_gamma 90.00
_space_group_name_H-M_alt 'P 4 m m'
_space_group_IT_number 99
_space_group_name_Hall 'P 4 -2'
loop_
_atom_site_label
_atom_site_type_symbol
_atom_site_fract_x
_atom_site_fract_y
_atom_site_fract_z
Ac1 Ac 0.000 0.500 0.000
Ag1 Ag 0.000 0.000 0.498
P1 P 0.500 0.500 0.579
O1 O 0.000 0.000 0.033
O2 O 0.295 0.295 0.673
O3 O 0.500 0.500 0.236
```

Main lines, by angle (5 to 70 degrees two-theta):
2θ = 19.1°, rel. 18.4, (0 0 1); 2θ = 22.4°, rel. 19.3, (1 1 0); 2θ = 29.6°, rel. 100.0, (1 1 1); 2θ = 31.9°, rel. 40.7, (2 0 0); 2θ = 37.4°, rel. 20.6, (2 0 1); 2θ = 38.8°, rel. 11.1, (0 0 2); 2θ = 45.7°, rel. 20.8, (2 2 0); 2θ = 51.1°, rel. 24.9, (2 0 2); 2θ = 55.4°, rel. 34.3, (3 1 1); 2θ = 61.5°, rel. 12.2, (2 2 2)


# 12
Starting from a crystal structure in Alexandria, relaxed with GGA-PBE, the X-ray diffraction stick pattern of AcAgP2O8 was computed for a wavelength of 1.5418 Å.
Lines closer than 0.1° are merged.

Cell and atoms:
```
data_AcAgP2O8
_cell_length_a 7.392
_cell_length_b 7.392
_cell_length_c 6.466
_cell_angle_alpha 90.00
_cell_angle_beta 90.00
_cell_angle_gamma 90.00
_space_group_name_H-M_alt 'I -4 m 2'
_space_group_IT_number 119
_space_group_name_Hall 'I -4 -2'
loop_
_atom_site_label
_atom_site_type_symbol
_atom_site_fract_x
_atom_site_fract_y
_atom_site_fract_z
Ac1 Ac 0.000 0.000 0.000
Ag1 Ag 0.000 0.500 0.750
P1 P 0.000 0.000 0.500
P2 P 0.000 0.500 0.250
O1 O 0.000 0.167 0.646
O2 O 0.000 0.334 0.103
```

Main lines, by angle (5 to 70 degrees two-theta):
2θ = 18.2°, rel. 63.0, (1 0 1); 2θ = 24.1°, rel. 100.0, (2 0 0); 2θ = 30.4°, rel. 34.0, (2 1 1); 2θ = 32.6°, rel. 69.9, (1 1 2); 2θ = 34.3°, rel. 23.0, (2 2 0); 2θ = 39.1°, rel. 22.9, (3 0 1); 2θ = 43.7°, rel. 14.6, (1 0 3); 2θ = 46.5°, rel. 25.2, (3 2 1); 2θ = 48.0°, rel. 53.3, (3 1 2); 2θ = 60.3°, rel. 14.8, (3 3 2)


# 13
Starting from a crystal structure in Alexandria, relaxed with GGA-PBE, the X-ray diffraction stick pattern of AcPa2AgO7 was computed for a wavelength of 1.5418 Å.
Lines closer than 0.1° are merged.

Cell and atoms:
```
data_AcPa2AgO7
_cell_length_a 4.299
_cell_length_b 4.299
_cell_length_c 11.443
_cell_angle_alpha 90.00
_cell_angle_beta 90.00
_cell_angle_gamma 90.00
_space_group_name_H-M_alt 'P 4/m m m'
_space_group_IT_number 123
_space_group_name_Hall '-P 4 2'
loop_
_atom_site_label
_atom_site_type_symbol
_atom_site_fract_x
_atom_site_fract_y
_atom_site_fract_z
Ac1 Ac 0.000 0.000 0.000
Pa1 Pa 0.500 0.500 0.201
Ag1 Ag 0.000 0.000 0.500
O1 O 0.000 0.500 0.151
O2 O 0.500 0.500 0.000
O3 O 0.500 0.500 0.372
```

Main lines, by angle (5 to 70 degrees two-theta):
2θ = 7.7°, rel. 59.8, (0 0 1); 2θ = 25.9°, rel. 100.0, (1 0 2); 2θ = 29.4°, rel. 45.9, (1 1 0); 2θ = 31.3°, rel. 29.4, (1 0 3); 2θ = 42.0°, rel. 24.0, (2 0 0); 2θ = 43.4°, rel. 14.5, (1 1 4); 2θ = 49.9°, rel. 13.2, (1 1 5); 2θ = 50.0°, rel. 34.5, (2 1 2); 2θ = 53.3°, rel. 17.2, (2 1 3); 2θ = 69.1°, rel. 8.4, (3 1 0)